Computed X-ray diffraction stick pattern of LaNd2FeN4 for Cu Kα, from DFT lattice parameters and positions (GGA-PBE).
Kinematic intensities with the Lorentz-polarization factor, no thermal factor.

Most intense lines, 2θ from 5° to 70°, low angle first:
26.7 deg, intensity 74
29.6 deg, intensity 39
29.9 deg, intensity 66
30.4 deg, intensity 100
34.9 deg, intensity 31
37.2 deg, intensity 98
42.5 deg, intensity 27
46.3 deg, intensity 35
48.5 deg, intensity 20
51.3 deg, intensity 22
52.2 deg, intensity 21
62.4 deg, intensity 18

Atomic structure:
```
16
Lattice="1.7535 -5.9831 0.0000 1.7535 5.9831 0.0000 0.0000 0.0000 12.0762" Properties=species:S:1:pos:R:3 pbc="T T T"
La 1.7535 4.5418 9.0571
La 1.7535 -4.5418 3.0190
Nd 1.7535 1.5846 6.5721
Nd 1.7535 1.5846 11.5421
Nd 1.7535 -1.5846 0.5340
Nd 1.7535 -1.5846 5.5041
Fe 1.7535 4.0291 3.0190
Fe 1.7535 -4.0291 9.0571
N 0.0000 0.0000 0.0000
N 0.0000 0.0000 6.0381
N 1.7535 2.7400 1.6327
N 1.7535 2.7400 4.4054
N 1.7535 1.2531 9.0571
N 1.7535 -1.2531 3.0190
N 1.7535 -2.7400 7.6707
N 1.7535 -2.7400 10.4435
```